The following is a theoretical X-ray diffraction stick pattern of Ta2Co3Pd2. It was derived from a cell relaxed with GGA-PBE, using Cu Kα.
Peak positions follow from Bragg's law for the DFT cell and can differ from measured ones.

Cell lengths 7.3469, 4.2334, 6.9673 Å; angles 90.00, 110.57, 90.00 degrees
Space group C2/m (No. 12)
Symmetry-distinct sites (fractional):
Ta 0.1102 0.0000 0.3300 [4 per cell]
Co 0.0000 0.5000 0.5000 [2 per cell]
Co 0.2364 0.0000 0.7100 [4 per cell]
Pd 0.1319 0.5000 0.8967 [4 per cell]

The 10 most intense peaks (15° ≤ 2θ ≤ 90°), sorted by position:
30.4°, d = 2.936 Å, I 577
33.5°, d = 2.677 Å, I 189
40.6°, d = 2.224 Å, I 155
42.7°, d = 2.119 Å, I 1000
44.5°, d = 2.035 Å, I 592
53.3°, d = 1.718 Å, I 125
61.1°, d = 1.517 Å, I 110
63.4°, d = 1.468 Å, I 202
79.4°, d = 1.207 Å, I 139
87.9°, d = 1.111 Å, I 154

=====

The following is a theoretical X-ray diffraction stick pattern of Tb8Co2Pd. It was derived from a cell relaxed with GGA-PBE, using Cu Kα.
Peak positions follow from Bragg's law for the DFT cell and can differ from measured ones.

Cell lengths 8.1942, 12.3745, 5.9781 Å; angles 90.00, 107.12, 90.00 degrees
Space group Cm (No. 8)
Symmetry-distinct sites (fractional):
Tb 0.0000 0.0000 0.0000 [2 per cell]
Tb 0.0772 0.3670 0.7877 [4 per cell]
Tb 0.1605 0.1333 0.5898 [4 per cell]
Tb 0.2366 0.5000 0.3804 [2 per cell]
Tb 0.3678 0.2228 0.1903 [4 per cell]
Co 0.3690 0.3085 0.6914 [4 per cell]
Pd 0.3689 0.0000 0.3359 [2 per cell]

The 10 most intense peaks (15° ≤ 2θ ≤ 90°), sorted by position:
27.6°, d = 3.233 Å, I 302
30.8°, d = 2.899 Å, I 1000
31.3°, d = 2.860 Å, I 746
32.9°, d = 2.720 Å, I 777
34.1°, d = 2.631 Å, I 573
34.6°, d = 2.594 Å, I 354
36.1°, d = 2.490 Å, I 268
37.0°, d = 2.427 Å, I 475
40.0°, d = 2.253 Å, I 536
40.9°, d = 2.206 Å, I 214

=====

The following is a theoretical X-ray diffraction stick pattern of Th4CoPd3. It was derived from a cell relaxed with GGA-PBE, using Cu Kα.
Peak positions follow from Bragg's law for the DFT cell and can differ from measured ones.

Cell lengths 3.8539, 4.4729, 11.0959 Å; angles 90.00, 90.00, 90.00 degrees
Space group Pmm2 (No. 25)
Symmetry-distinct sites (fractional):
Th 0.0000 0.0000 0.0000 [1 per cell]
Th 0.0000 0.5000 0.2618 [1 per cell]
Th 0.5000 0.0000 0.4738 [1 per cell]
Th 0.5000 0.5000 0.7601 [1 per cell]
Co 0.5000 0.0000 0.2256 [1 per cell]
Pd 0.0000 0.0000 0.7183 [1 per cell]
Pd 0.0000 0.5000 0.5366 [1 per cell]
Pd 0.5000 0.5000 0.0378 [1 per cell]

The 10 most intense peaks (15° ≤ 2θ ≤ 90°), sorted by position:
25.6°, d = 3.482 Å, I 291
31.7°, d = 2.824 Å, I 1000
32.3°, d = 2.774 Å, I 357
33.6°, d = 2.669 Å, I 260
39.3°, d = 2.292 Å, I 511
40.3°, d = 2.236 Å, I 272
47.2°, d = 1.927 Å, I 175
51.7°, d = 1.767 Å, I 155
52.6°, d = 1.741 Å, I 183
77.9°, d = 1.227 Å, I 185

=====

The following is a theoretical X-ray diffraction stick pattern of Th6CoPd2. It was derived from a cell relaxed with GGA-PBE, using Cu Kα.
Peak positions follow from Bragg's law for the DFT cell and can differ from measured ones.

Cell lengths 6.4150, 7.4638, 11.8462 Å; angles 90.00, 120.25, 90.00 degrees
Space group P2_1/c (No. 14)
Symmetry-distinct sites (fractional):
Th 0.0946 0.1974 0.4382 [4 per cell]
Th 0.2959 0.6708 0.4466 [4 per cell]
Th 0.3983 0.0372 0.2490 [4 per cell]
Co 0.5000 0.0000 0.5000 [2 per cell]
Pd 0.1505 0.1140 0.7336 [4 per cell]

The 10 most intense peaks (15° ≤ 2θ ≤ 90°), sorted by position:
28.8°, d = 3.095 Å, I 541
29.6°, d = 3.015 Å, I 946
30.2°, d = 2.958 Å, I 795
30.4°, d = 2.945 Å, I 741
31.3°, d = 2.860 Å, I 728
31.5°, d = 2.837 Å, I 447
32.5°, d = 2.753 Å, I 1000
38.8°, d = 2.319 Å, I 500
50.9°, d = 1.793 Å, I 705
53.5°, d = 1.712 Å, I 459

=====

The following is a theoretical X-ray diffraction stick pattern of Th4CoPd2. It was derived from a cell relaxed with GGA-PBE, using Cu Kα.
Peak positions follow from Bragg's law for the DFT cell and can differ from measured ones.

Cell lengths 7.4619, 7.7092, 7.7136 Å; angles 105.98, 109.82, 109.77 degrees
Space group P1 (No. 1)
Symmetry-distinct sites (fractional):
Th 0.0000 0.0000 0.0000 [1 per cell]
Th 0.0257 0.0002 0.5053 [1 per cell]
Th 0.1028 0.6200 0.2099 [1 per cell]
Th 0.4018 0.5353 0.6463 [1 per cell]
Th 0.4999 0.8991 0.0995 [1 per cell]
Th 0.5258 0.4048 0.0997 [1 per cell]
Th 0.6029 0.1097 0.7198 [1 per cell]
Th 0.9021 0.5471 0.6358 [1 per cell]
Co 0.2565 0.8841 0.7419 [1 per cell]
Co 0.7564 0.6426 0.9847 [1 per cell]
Pd 0.1068 0.3575 0.8528 [1 per cell]
Pd 0.4024 0.1724 0.3695 [1 per cell]
Pd 0.6068 0.7524 0.4572 [1 per cell]
Pd 0.9013 0.2697 0.2723 [1 per cell]

The 10 most intense peaks (15° ≤ 2θ ≤ 90°), sorted by position:
27.4°, d = 3.257 Å, I 267
29.0°, d = 3.082 Å, I 554
30.2°, d = 2.957 Å, I 509
31.2°, d = 2.864 Å, I 395
31.8°, d = 2.813 Å, I 281
32.5°, d = 2.756 Å, I 1000
32.8°, d = 2.733 Å, I 262
35.9°, d = 2.505 Å, I 217
37.6°, d = 2.393 Å, I 256
38.4°, d = 2.344 Å, I 242

=====

The following is a theoretical X-ray diffraction stick pattern of Ti7Co5Pd. It was derived from a cell relaxed with GGA-PBE, using Cu Kα.
Peak positions follow from Bragg's law for the DFT cell and can differ from measured ones.

Cell lengths 5.0259, 8.6564, 8.4753 Å; angles 90.00, 90.00, 90.00 degrees
Space group Imm2 (No. 44)
Symmetry-distinct sites (fractional):
Ti 0.0000 0.0000 0.0000 [2 per cell]
Ti 0.0000 0.0000 0.3495 [2 per cell]
Ti 0.0000 0.3066 0.5550 [4 per cell]
Ti 0.0000 0.3399 0.0134 [4 per cell]
Ti 0.0000 0.5000 0.2955 [2 per cell]
Co 0.0000 0.5000 0.7677 [2 per cell]
Co 0.2475 0.2580 0.2972 [8 per cell]
Pd 0.0000 0.0000 0.6567 [2 per cell]

The 10 most intense peaks (15° ≤ 2θ ≤ 90°), sorted by position:
35.9°, d = 2.502 Å, I 376
36.5°, d = 2.463 Å, I 340
41.6°, d = 2.173 Å, I 673
41.8°, d = 2.163 Å, I 830
41.9°, d = 2.155 Å, I 563
42.2°, d = 2.140 Å, I 313
42.7°, d = 2.119 Å, I 282
47.0°, d = 1.934 Å, I 1000
47.2°, d = 1.927 Å, I 327
47.8°, d = 1.904 Å, I 520